(1)
The following is a simulated XRD peak list of LiSbPHO5. It was derived from a PBE-relaxed structure, using Cu Kα, 1.54184 Å.
Peak positions follow from Bragg's law for the DFT cell and can differ from measured ones.

```
18
Lattice="5.301 0.000 0.000 -0.781 5.790 0.000 -2.395 -2.543 7.150" Properties=species:S:1:pos:R:3 pbc="T T T"
Li 0.178 1.521 2.281
Li 1.947 1.725 4.868
Sb 2.650 0.000 0.000
Sb 1.453 -1.272 3.575
P -1.109 0.323 5.214
P 3.233 2.924 1.935
H -0.560 5.074 1.227
H 2.684 -1.828 5.922
O -1.020 3.095 3.086
O -1.596 1.584 5.988
O -1.105 -0.936 6.122
O 0.976 -0.166 1.596
O 0.306 0.554 4.585
O 1.818 2.692 2.565
O 1.149 3.412 5.553
O 3.229 4.183 1.028
O 3.720 1.662 1.162
O 3.144 0.152 4.064
```

Top 10 peaks for 2θ = 10–80°, low angle first:
2θ = 16.25°, I 79; 2θ = 18.06°, I 77; 2θ = 21.29°, I 55; 2θ = 24.78°, I 100; 2θ = 25.07°, I 77; 2θ = 27.15°, I 79; 2θ = 32.23°, I 40; 2θ = 33.60°, I 37; 2θ = 33.74°, I 35; 2θ = 36.34°, I 36

(2)
The following is a simulated XRD peak list of AcMg. It was derived from a PBE-relaxed structure, using Cu Kα, 1.54184 Å.
Peak positions follow from Bragg's law for the DFT cell and can differ from measured ones.

```
2
Lattice="4.115 0.000 0.000 0.000 4.115 0.000 0.000 0.000 4.115" Properties=species:S:1:pos:R:3 pbc="T T T"
Ac 0.000 0.000 0.000
Mg 2.058 2.058 2.058
```

Top 10 peaks for 2θ = 10–80°, low angle first:
2θ = 21.59°, I 73; 2θ = 30.72°, I 100; 2θ = 37.87°, I 24; 2θ = 44.01°, I 19; 2θ = 49.53°, I 34; 2θ = 54.63°, I 41; 2θ = 63.99°, I 13; 2θ = 68.39°, I 17; 2θ = 72.65°, I 18; 2θ = 76.82°, I 10

(3)
The following is a simulated XRD peak list of Gd2ZnAg. It was derived from a PBE-relaxed structure, using Cu Kα, 1.54184 Å.
Peak positions follow from Bragg's law for the DFT cell and can differ from measured ones.

```
4
Lattice="3.663 0.000 0.000 0.000 3.663 0.000 0.000 0.000 7.293" Properties=species:S:1:pos:R:3 pbc="T T T"
Gd 0.000 0.000 1.753
Gd 0.000 0.000 5.539
Zn 1.831 1.831 0.000
Ag 1.831 1.831 3.646
```

Top 10 peaks for 2θ = 10–80°, low angle first:
2θ = 24.30°, I 5; 2θ = 24.41°, I 3; 2θ = 34.69°, I 100; 2θ = 42.83°, I 2; 2θ = 49.79°, I 12; 2θ = 50.03°, I 6; 2θ = 62.12°, I 24; 2θ = 62.28°, I 12; 2θ = 73.07°, I 4; 2θ = 73.26°, I 7

(4)
The following is a simulated XRD peak list of Ca8Zn4Si3Ge5O28. It was derived from a PBE-relaxed structure, using Cu Kα, 1.54184 Å.
Peak positions follow from Bragg's law for the DFT cell and can differ from measured ones.

```
48
Lattice="8.024 0.000 0.000 0.008 9.208 0.000 0.016 3.828 8.693" Properties=species:S:1:pos:R:3 pbc="T T T"
Ca 0.000 0.000 0.000
Ca 0.545 6.529 4.330
Ca 1.744 3.309 2.343
Ca 2.842 8.760 5.835
Ca 4.020 5.538 3.823
Ca 4.566 12.052 8.170
Ca 5.744 2.231 1.502
Ca 6.840 9.845 6.659
Zn 1.523 6.123 0.746
Zn 3.079 5.947 7.436
Zn 5.528 8.649 3.091
Zn 7.066 3.416 5.072
Si 0.117 10.059 3.402
Si 4.123 4.697 0.414
Si 4.459 11.215 4.763
Ge 0.450 7.364 7.775
Ge 1.943 3.416 5.885
Ge 2.626 8.653 2.281
Ge 5.939 5.948 6.613
Ge 6.632 6.107 1.538
O 0.104 9.115 4.716
O 0.184 5.588 2.151
O 0.367 2.908 6.500
O 0.440 2.502 0.483
O 0.840 9.088 7.844
O 1.536 6.806 6.482
O 1.671 10.135 2.734
O 1.760 8.018 0.882
O 1.933 4.482 4.475
O 2.636 7.581 3.682
O 2.811 4.052 7.286
O 2.907 11.140 5.434
O 3.098 5.233 1.607
O 3.749 3.092 0.284
O 4.122 9.470 7.794
O 4.201 9.163 1.663
O 4.370 6.463 5.997
O 4.464 2.950 3.447
O 4.821 9.610 4.630
O 5.486 11.755 5.951
O 5.678 4.618 1.088
O 5.771 6.746 2.940
O 5.953 4.891 8.032
O 6.638 7.176 0.133
O 6.817 7.479 7.040
O 6.825 5.315 5.223
O 7.112 9.518 2.216
O 7.770 2.456 3.535
```

Top 10 peaks for 2θ = 10–80°, low angle first:
2θ = 17.36°, I 87; 2θ = 28.26°, I 47; 2θ = 28.87°, I 46; 2θ = 29.22°, I 100; 2θ = 30.34°, I 100; 2θ = 30.77°, I 44; 2θ = 31.31°, I 43; 2θ = 35.14°, I 38; 2θ = 35.20°, I 33; 2θ = 35.47°, I 57

(5)
The following is a simulated XRD peak list of BeSiO3. It was derived from a PBE-relaxed structure, using Cu Kα, 1.54184 Å.
Peak positions follow from Bragg's law for the DFT cell and can differ from measured ones.

```
5
Lattice="3.477 0.000 0.000 0.000 3.477 0.000 0.000 0.000 3.477" Properties=species:S:1:pos:R:3 pbc="T T T"
Be 0.000 0.000 0.000
Si 1.739 1.739 1.739
O 0.000 1.739 1.739
O 1.739 0.000 1.739
O 1.739 1.739 0.000
```

Top 7 peaks for 2θ = 10–80°, low angle first:
2θ = 25.62°, I 100; 2θ = 36.54°, I 15; 2θ = 45.16°, I 10; 2θ = 52.64°, I 48; 2θ = 59.44°, I 29; 2θ = 65.78°, I 7; 2θ = 77.67°, I 25

(6)
The following is a simulated XRD peak list of MgSn2O4. It was derived from a PBE-relaxed structure, using Cu Kα, 1.54184 Å.
Peak positions follow from Bragg's law for the DFT cell and can differ from measured ones.

```
14
Lattice="0.000 4.660 4.660 4.660 0.000 4.660 4.660 4.660 0.000" Properties=species:S:1:pos:R:3 pbc="T T T"
Mg 1.165 1.165 1.165
Mg 8.154 8.154 8.154
Sn 4.660 2.330 2.330
Sn 2.330 4.660 2.330
Sn 2.330 2.330 4.660
Sn 4.660 4.660 4.660
O 2.368 2.368 2.368
O 4.621 4.621 2.368
O 4.621 2.368 4.621
O 6.951 4.698 4.698
O 2.368 4.621 4.621
O 4.698 6.951 4.698
O 4.698 4.698 6.951
O 6.951 6.951 6.951
```

Top 10 peaks for 2θ = 10–80°, low angle first:
2θ = 16.48°, I 93; 2θ = 31.85°, I 100; 2θ = 33.31°, I 47; 2θ = 38.65°, I 62; 2θ = 42.27°, I 24; 2θ = 50.92°, I 38; 2θ = 55.80°, I 56; 2θ = 58.60°, I 21; 2θ = 66.56°, I 25; 2θ = 78.90°, I 23